Record 1
Computed X-ray diffraction stick pattern
Compound: TmAg5
Radiation: copper Kα
Structure: a cell relaxed with PBE
No peak broadening, texture or thermal motion is included.

Atomic structure:
```
TmAg5
1.0
5.2366 0.0000 0.0000
0.0000 9.0159 0.0000
-1.7868 0.0000 4.8845
Tm Ag
2 10
direct
0.0000 0.0000 0.0000
0.5000 0.5000 0.0000
0.0000 0.1735 0.5000
0.0000 0.3340 0.0000
0.0000 0.5000 0.5000
0.0000 0.6660 0.0000
0.0000 0.8265 0.5000
0.5000 0.0000 0.5000
0.5000 0.1660 0.0000
0.5000 0.3265 0.5000
0.5000 0.6735 0.5000
0.5000 0.8340 0.0000
```

Peak list (6 most intense, 2θ from 15° to 90°, by angle)
2θ/deg, intensity
36.54, 100
36.80, 33
42.26, 22
42.66, 43
61.76, 20
74.08, 16


Record 2
Computed X-ray diffraction stick pattern
Compound: Tm3Ag4
Radiation: copper Kα
Structure: a cell relaxed with PBE
No peak broadening, texture or thermal motion is included.

Atomic structure:
```
Tm3Ag4
1.0
2.4879 1.4364 8.1464
-2.4879 1.4364 8.1464
0.0000 -2.8728 8.1464
Tm Ag
3 4
direct
0.0000 0.0000 0.0000
0.2443 0.2443 0.2443
0.7557 0.7557 0.7557
0.1225 0.1225 0.1225
0.3710 0.3710 0.3710
0.6290 0.6290 0.6290
0.8775 0.8775 0.8775
```

Peak list (6 most intense, 2θ from 15° to 90°, by angle)
2θ/deg, intensity
20.93, 8
36.07, 100
51.93, 17
64.75, 8
64.89, 26
87.68, 8


Record 3
Computed X-ray diffraction stick pattern
Compound: Tm3Ag8
Radiation: copper Kα
Structure: a cell relaxed with PBE
No peak broadening, texture or thermal motion is included.

Atomic structure:
```
Tm3Ag8
1.0
4.8582 -2.0592 0.0000
4.8582 2.0592 0.0000
-2.8359 0.0000 11.1780
Tm Ag
3 8
direct
0.0000 0.0000 0.0000
0.1054 0.1054 0.6450
0.8946 0.8946 0.3550
0.1653 0.1653 0.2686
0.2740 0.2740 0.9076
0.3670 0.3670 0.5439
0.4454 0.4454 0.1757
0.5546 0.5546 0.8243
0.6330 0.6330 0.4561
0.7260 0.7260 0.0924
0.8347 0.8347 0.7314
```

Peak list (6 most intense, 2θ from 15° to 90°, by angle)
2θ/deg, intensity
35.49, 100
36.43, 94
40.17, 36
41.07, 31
43.97, 28
61.07, 20